(1)
# Mn3Si6N11
Theoretical powder diffraction line list, Cu Kα. Input: a structure optimized by DFT (GGA-PBE).
Kinematic intensities with the Lorentz-polarization factor, no thermal factor.

Most intense lines, 2θ from 10° to 90°, by angle:
| 2theta | I/Imax |
| --- | --- |
| 12.82 | 29 |
| 18.17 | 24 |
| 18.50 | 43 |
| 20.34 | 21 |
| 22.58 | 24 |
| 27.63 | 22 |
| 31.95 | 100 |
| 34.56 | 63 |
| 37.51 | 21 |
| 38.00 | 44 |
| 38.17 | 49 |
| 54.47 | 32 |

Atomic structure:
Cell: 9.7624 9.7624 4.7949 Å, 90.00 90.00 90.00°
Atoms (fractional coordinates):
Mn1 0.0000 0.0000 0.0000
Mn2 0.2061 0.2939 0.0534
Mn3 0.2939 0.7939 0.0534
Mn4 0.5000 0.5000 0.0000
Mn5 0.7061 0.2061 0.0534
Mn6 0.7939 0.7061 0.0534
Si1 0.0801 0.7905 0.6199
Si2 0.1157 0.6157 0.1351
Si3 0.2095 0.0801 0.6199
Si4 0.2905 0.5801 0.6199
Si5 0.3843 0.1157 0.1351
Si6 0.4199 0.2905 0.6199
Si7 0.5801 0.7095 0.6199
Si8 0.6157 0.8843 0.1351
Si9 0.7095 0.4199 0.6199
Si10 0.7905 0.9199 0.6199
Si11 0.8843 0.3843 0.1351
Si12 0.9199 0.2095 0.6199
N1 0.0000 0.5000 0.2163
N2 0.0797 0.1807 0.7653
N3 0.0971 0.7860 0.2610
N4 0.1436 0.6436 0.7772
N5 0.1807 0.9203 0.7653
N6 0.2140 0.0971 0.2610
N7 0.2860 0.5971 0.2610
N8 0.3193 0.4203 0.7653
N9 0.3564 0.1436 0.7772
N10 0.4029 0.2860 0.2610
N11 0.4203 0.6807 0.7653
N12 0.5000 0.0000 0.2163
N13 0.5797 0.3193 0.7653
N14 0.5971 0.7140 0.2610
N15 0.6436 0.8564 0.7772
N16 0.6807 0.5797 0.7653
N17 0.7140 0.4029 0.2610
N18 0.7860 0.9029 0.2610
N19 0.8193 0.0797 0.7653
N20 0.8564 0.3564 0.7772
N21 0.9029 0.2140 0.2610
N22 0.9203 0.8193 0.7653

***

(2)
# Mn2Si4N7
Theoretical powder diffraction line list, Cu Kα. Input: a structure optimized by DFT (GGA-PBE).
Kinematic intensities with the Lorentz-polarization factor, no thermal factor.

Most intense lines, 2θ from 10° to 90°, by angle:
| 2theta | I/Imax |
| --- | --- |
| 30.10 | 33 |
| 32.26 | 46 |
| 33.45 | 51 |
| 35.73 | 79 |
| 36.33 | 99 |
| 36.48 | 100 |
| 37.26 | 34 |
| 38.12 | 43 |
| 42.35 | 41 |
| 48.62 | 33 |
| 62.58 | 31 |
| 70.27 | 31 |

Atomic structure:
Cell: 5.8079 5.8079 9.4433 Å, 90.00 90.00 118.52°
Atoms (fractional coordinates):
Mn1 0.1047 0.8953 0.5000
Mn2 0.1856 0.8144 0.0769
Mn3 0.8144 0.1856 0.5769
Mn4 0.8953 0.1047 0.0000
Si1 0.1742 0.3016 0.2657
Si2 0.3016 0.1742 0.7657
Si3 0.3049 0.6951 0.7547
Si4 0.4933 0.5067 0.0013
Si5 0.5067 0.4933 0.5013
Si6 0.6951 0.3049 0.2547
Si7 0.6984 0.8258 0.2657
Si8 0.8258 0.6984 0.7657
N1 0.0091 0.4449 0.1839
N2 0.0287 0.9713 0.2144
N3 0.1872 0.3103 0.4478
N4 0.3103 0.1872 0.9478
N5 0.3294 0.6706 0.9365
N6 0.4449 0.0091 0.6839
N7 0.4837 0.5163 0.6942
N8 0.5163 0.4837 0.1942
N9 0.5551 0.9909 0.1839
N10 0.6706 0.3294 0.4365
N11 0.6897 0.8128 0.4478
N12 0.8128 0.6897 0.9478
N13 0.9713 0.0287 0.7144
N14 0.9909 0.5551 0.6839

***

(3)
# MnSiN2
Theoretical powder diffraction line list, Cu Kα. Input: a structure optimized by DFT (GGA-PBE).
Kinematic intensities with the Lorentz-polarization factor, no thermal factor.

Most intense lines, 2θ from 10° to 90°, by angle:
| 2theta | I/Imax |
| --- | --- |
| 32.16 | 49 |
| 33.68 | 32 |
| 35.03 | 59 |
| 36.75 | 100 |
| 38.11 | 35 |
| 48.29 | 20 |
| 56.34 | 17 |
| 59.28 | 29 |
| 63.96 | 33 |
| 68.10 | 14 |
| 70.06 | 13 |
| 70.75 | 24 |

Atomic structure:
Cell: 5.3217 6.5315 5.1227 Å, 90.00 90.00 90.00°
Atoms (fractional coordinates):
Mn1 0.0804 0.1239 0.0000
Mn2 0.4196 0.6239 0.5000
Mn3 0.5804 0.3761 0.0000
Mn4 0.9196 0.8761 0.5000
Si1 0.0681 0.6253 0.0051
Si2 0.4319 0.1253 0.5051
Si3 0.5681 0.8747 0.0051
Si4 0.9319 0.3747 0.5051
N1 0.0481 0.5924 0.3458
N2 0.1136 0.1589 0.4170
N3 0.3864 0.6589 0.9170
N4 0.4519 0.0924 0.8458
N5 0.5481 0.9076 0.3458
N6 0.6136 0.3411 0.4170
N7 0.8864 0.8411 0.9170
N8 0.9519 0.4076 0.8458